No. 1
Structure and simulated X-ray powder pattern of InCoNiB (a cell relaxed with GGA-PBE; Cu Kα (λ = 1.5418 Å)).

Main lines, low angle first (2θ from 10° to 80°):
| Position (°2θ) | Rel. int. |
| --- | --- |
| 29.49 | 7 |
| 33.48 | 8 |
| 36.71 | 100 |
| 44.88 | 17 |
| 45.21 | 59 |
| 59.85 | 24 |
| 71.58 | 15 |
| 72.30 | 13 |
| 77.83 | 18 |
| 78.06 | 11 |

Cell and atoms:
```
data_InCoNiB
_chemical_formula_sum 'In1 Co1 Ni1 B1'
_cell_length_a 3.0908
_cell_length_b 3.0908
_cell_length_c 6.0585
_cell_angle_alpha 90.00
_cell_angle_beta 90.00
_cell_angle_gamma 120.00
_space_group_name_H-M_alt 'P 3 m 1'
_space_group_IT_number 156
loop_
_space_group_symop_operation_xyz
'x,y,z'
'-y,x-y,z'
'-x+y,-x,z'
'-y,-x,z'
'-x+y,y,z'
'x,x-y,z'
loop_
_atom_site_label
_atom_site_fract_x
_atom_site_fract_y
_atom_site_fract_z
In1 0.0000 0.0000 0.0000
Co1 0.6667 0.3333 0.3463
Ni1 0.3333 0.6667 0.6517
B1 0.0000 0.0000 0.4898
```


No. 2
Structure and simulated X-ray powder pattern of InCo2NiB (a cell relaxed with GGA-PBE; Cu Kα (λ = 1.5418 Å)).

Main lines, low angle first (2θ from 10° to 80°):
| Position (°2θ) | Rel. int. |
| --- | --- |
| 22.87 | 7 |
| 32.58 | 12 |
| 40.18 | 100 |
| 46.63 | 18 |
| 46.78 | 35 |
| 52.68 | 2 |
| 58.06 | 2 |
| 58.16 | 3 |
| 68.19 | 21 |
| 68.32 | 10 |

Cell and atoms:
```
data_InCo2NiB
_chemical_formula_sum 'In1 Co2 Ni1 B1'
_cell_length_a 3.8835
_cell_length_b 3.8835
_cell_length_c 3.8957
_cell_angle_alpha 90.00
_cell_angle_beta 90.00
_cell_angle_gamma 90.00
_space_group_name_H-M_alt 'P 4/m m m'
_space_group_IT_number 123
_space_group_name_Hall '-P 4 2'
loop_
_atom_site_label
_atom_site_fract_x
_atom_site_fract_y
_atom_site_fract_z
In1 0.0000 0.0000 0.0000
Co1 0.0000 0.5000 0.5000
Ni1 0.5000 0.5000 0.0000
B1 0.5000 0.5000 0.5000
```


No. 3
Structure and simulated X-ray powder pattern of Np2CoB2Ir5 (a cell relaxed with GGA-PBE; Cu Kα (λ = 1.5418 Å)).

Main lines, low angle first (2θ from 10° to 80°):
| Position (°2θ) | Rel. int. |
| --- | --- |
| 32.43 | 11 |
| 33.93 | 54 |
| 38.10 | 16 |
| 40.73 | 100 |
| 42.02 | 13 |
| 44.35 | 34 |
| 52.80 | 16 |
| 68.78 | 21 |
| 70.73 | 11 |
| 71.60 | 10 |

Cell and atoms:
```
data_Np2CoB2Ir5
_chemical_formula_sum 'Np4 Co2 B4 Ir10'
_cell_length_a 9.1235
_cell_length_b 9.1235
_cell_length_c 3.4678
_cell_angle_alpha 90.00
_cell_angle_beta 90.00
_cell_angle_gamma 90.00
_space_group_name_H-M_alt 'P 4/m b m'
_space_group_IT_number 127
_space_group_name_Hall '-P 4 2ab'
loop_
_atom_site_label
_atom_site_fract_x
_atom_site_fract_y
_atom_site_fract_z
Np1 0.1783 0.3217 0.0000
Co1 0.0000 0.0000 0.0000
B1 0.1216 0.6216 0.0000
Ir1 0.0000 0.5000 0.5000
Ir2 0.0708 0.7882 0.5000
```


No. 4
Structure and simulated X-ray powder pattern of ThCoB2Ir2 (a cell relaxed with GGA-PBE; Cu Kα (λ = 1.5418 Å)).

Main lines, low angle first (2θ from 10° to 80°):
| Position (°2θ) | Rel. int. |
| --- | --- |
| 24.02 | 15 |
| 31.46 | 36 |
| 32.87 | 9 |
| 36.06 | 100 |
| 46.35 | 27 |
| 57.09 | 27 |
| 59.04 | 26 |
| 67.64 | 9 |
| 76.50 | 12 |
| 79.11 | 21 |

Cell and atoms:
```
data_ThCoB2Ir2
_chemical_formula_sum 'Th2 Co2 B4 Ir4'
_cell_length_a 3.9179
_cell_length_b 3.9179
_cell_length_c 11.3747
_cell_angle_alpha 90.00
_cell_angle_beta 90.00
_cell_angle_gamma 90.00
_space_group_name_H-M_alt 'I 4/m m m'
_space_group_IT_number 139
_space_group_name_Hall '-I 4 2'
loop_
_atom_site_label
_atom_site_fract_x
_atom_site_fract_y
_atom_site_fract_z
Th1 0.0000 0.0000 0.0000
Co1 0.0000 0.0000 0.5000
B1 0.0000 0.0000 0.3259
Ir1 0.0000 0.5000 0.2500
```


No. 5
Structure and simulated X-ray powder pattern of KCoB2Mo (a cell relaxed with GGA-PBE; Cu Kα (λ = 1.5418 Å)).

Main lines, low angle first (2θ from 10° to 80°):
| Position (°2θ) | Rel. int. |
| --- | --- |
| 17.91 | 19 |
| 28.79 | 100 |
| 31.83 | 92 |
| 36.27 | 44 |
| 36.76 | 31 |
| 45.63 | 44 |
| 49.02 | 52 |
| 54.85 | 32 |
| 59.64 | 37 |
| 78.18 | 16 |

Cell and atoms:
```
data_KCoB2Mo
_chemical_formula_sum 'K1 Co1 B2 Mo1'
_cell_length_a 3.9764
_cell_length_b 3.9764
_cell_length_c 4.9529
_cell_angle_alpha 90.00
_cell_angle_beta 90.00
_cell_angle_gamma 90.00
_space_group_name_H-M_alt 'P 4/m m m'
_space_group_IT_number 123
_space_group_name_Hall '-P 4 2'
loop_
_atom_site_label
_atom_site_fract_x
_atom_site_fract_y
_atom_site_fract_z
K1 0.0000 0.0000 0.0000
Co1 0.0000 0.0000 0.5000
B1 0.0000 0.5000 0.5000
Mo1 0.5000 0.5000 0.0000
```


No. 6
Structure and simulated X-ray powder pattern of La4Co3B6 (a cell relaxed with GGA-PBE; Cu Kα (λ = 1.5418 Å)).

Main lines, low angle first (2θ from 10° to 80°):
| Position (°2θ) | Rel. int. |
| --- | --- |
| 23.01 | 34 |
| 33.21 | 29 |
| 33.41 | 100 |
| 36.53 | 23 |
| 40.96 | 63 |
| 58.90 | 13 |
| 59.73 | 23 |
| 64.88 | 13 |
| 70.23 | 19 |
| 74.97 | 10 |

Cell and atoms:
```
data_La4Co3B6
_chemical_formula_sum 'La12 Co9 B18'
_cell_length_a 5.3632
_cell_length_b 5.3632
_cell_length_c 23.1958
_cell_angle_alpha 90.00
_cell_angle_beta 90.00
_cell_angle_gamma 120.00
_space_group_name_H-M_alt 'R -3 m'
_space_group_IT_number 166
_space_group_name_Hall '-R 3 2"'
loop_
_atom_site_label
_atom_site_fract_x
_atom_site_fract_y
_atom_site_fract_z
La1 0.0000 0.0000 0.0908
La2 0.0000 0.0000 0.2426
Co1 0.0000 0.0000 0.3841
Co2 0.0000 0.0000 0.5000
B1 0.0000 0.3325 0.0000
```


No. 7
Structure and simulated X-ray powder pattern of LaCoB2Os (a cell relaxed with GGA-PBE; Cu Kα (λ = 1.5418 Å)).

Main lines, low angle first (2θ from 10° to 80°):
| Position (°2θ) | Rel. int. |
| --- | --- |
| 17.40 | 18 |
| 24.87 | 65 |
| 35.21 | 30 |
| 35.34 | 32 |
| 37.66 | 100 |
| 47.57 | 29 |
| 50.75 | 10 |
| 54.41 | 16 |
| 60.58 | 39 |
| 64.81 | 22 |

Cell and atoms:
```
data_LaCoB2Os
_chemical_formula_sum 'La2 Co2 B4 Os2'
_cell_length_a 3.8230
_cell_length_b 3.8230
_cell_length_c 10.1948
_cell_angle_alpha 90.00
_cell_angle_beta 90.00
_cell_angle_gamma 90.00
_space_group_name_H-M_alt 'I -4 m 2'
_space_group_IT_number 119
_space_group_name_Hall 'I -4 -2'
loop_
_atom_site_label
_atom_site_fract_x
_atom_site_fract_y
_atom_site_fract_z
La1 0.0000 0.0000 0.0000
Co1 0.0000 0.5000 0.2500
B1 0.0000 0.0000 0.3289
Os1 0.0000 0.5000 0.7500
```


No. 8
Structure and simulated X-ray powder pattern of LaCoB2Ru (a cell relaxed with GGA-PBE; Cu Kα (λ = 1.5418 Å)).

Main lines, low angle first (2θ from 10° to 80°):
| Position (°2θ) | Rel. int. |
| --- | --- |
| 24.95 | 63 |
| 35.55 | 65 |
| 37.80 | 100 |
| 47.67 | 30 |
| 51.15 | 9 |
| 54.54 | 15 |
| 60.85 | 39 |
| 65.32 | 22 |
| 69.69 | 13 |
| 72.50 | 6 |

Cell and atoms:
```
data_LaCoB2Ru
_chemical_formula_sum 'La2 Co2 B4 Ru2'
_cell_length_a 3.8155
_cell_length_b 3.8155
_cell_length_c 10.1034
_cell_angle_alpha 90.00
_cell_angle_beta 90.00
_cell_angle_gamma 90.00
_space_group_name_H-M_alt 'I -4 m 2'
_space_group_IT_number 119
_space_group_name_Hall 'I -4 -2'
loop_
_atom_site_label
_atom_site_fract_x
_atom_site_fract_y
_atom_site_fract_z
La1 0.0000 0.0000 0.0000
Co1 0.0000 0.5000 0.2500
B1 0.0000 0.0000 0.3282
Ru1 0.0000 0.5000 0.7500
```


No. 9
Structure and simulated X-ray powder pattern of LiCo4B4 (a cell relaxed with GGA-PBE; Cu Kα (λ = 1.5418 Å)).

Main lines, low angle first (2θ from 10° to 80°):
| Position (°2θ) | Rel. int. |
| --- | --- |
| 18.78 | 100 |
| 29.88 | 20 |
| 38.07 | 61 |
| 42.79 | 34 |
| 44.98 | 31 |
| 49.12 | 47 |
| 54.96 | 44 |
| 58.61 | 8 |
| 63.79 | 21 |
| 76.78 | 19 |

Cell and atoms:
```
data_LiCo4B4
_chemical_formula_sum 'Li2 Co8 B8'
_cell_length_a 6.6821
_cell_length_b 6.6821
_cell_length_c 3.8625
_cell_angle_alpha 90.00
_cell_angle_beta 90.00
_cell_angle_gamma 90.00
_space_group_name_H-M_alt 'P 42/n'
_space_group_IT_number 86
loop_
_space_group_symop_operation_xyz
'x,y,z'
'-x,-y,-z'
'-y,x+1/2,z+1/2'
'y,-x+1/2,-z+1/2'
'-x+1/2,-y+1/2,z'
'x+1/2,y+1/2,-z'
'y+1/2,-x,z+1/2'
'-y+1/2,x,-z+1/2'
loop_
_atom_site_label
_atom_site_fract_x
_atom_site_fract_y
_atom_site_fract_z
Li1 0.2500 0.2500 0.2500
Co1 0.1201 0.6222 0.1350
B1 0.0709 0.9269 0.1401
```